Structure and computed XRD peak list of Sc4SnTe4 (the GGA-PBE geometry in Alexandria; Cu Kα X-rays).

Atomic structure:
```
data_Sc4SnTe4
_space_group_name_H-M_alt 'C 1 2/m 1'
_space_group_IT_number 12
_cell_length_a 13.9248
_cell_length_b 4.1151
_cell_length_c 10.2464
_cell_angle_alpha 90.00
_cell_angle_beta 120.36
_cell_angle_gamma 90.00
loop_
_space_group_symop_operation_xyz
'x,y,z'
'-x,-y,-z'
'-x,y,-z'
'x,-y,z'
'x+1/2,y+1/2,z'
'-x+1/2,-y+1/2,-z'
'-x+1/2,y+1/2,-z'
'x+1/2,-y+1/2,z'
loop_
_atom_site_label
_atom_site_type_symbol
_atom_site_fract_x
_atom_site_fract_y
_atom_site_fract_z
Sc1 Sc 0.0981 0.0000 0.4015
Sc2 Sc 0.1982 0.5000 0.8025
Sn1 Sn 0.0000 0.5000 0.5000
Te1 Te 0.1007 0.0000 0.9007
Te2 Te 0.1970 0.5000 0.2972
```

Top 10 peaks for 10 to 80 degrees two-theta, most intense first:
- 30.4°, I 100, hkl 3 1 -2
- 43.6°, I 72, hkl 5 1 0
- 30.6°, I 49, hkl 2 0 2
- 26.1°, I 44, hkl 2 0 -3
- 26.5°, I 42, hkl 1 1 1
- 51.9°, I 21, hkl 4 2 -1
- 53.6°, I 19, hkl 4 0 -6
- 43.0°, I 19, hkl 6 0 -4
- 54.5°, I 18, hkl 2 2 2
- 44.0°, I 18, hkl 0 2 0